Structure and calculated PXRD pattern of CdBi2IrO6 (DFT lattice parameters and positions (PBE); Cu Kα).
Intensities are scaled so that the largest is 100.

Structural model:
a b c (Å): 5.8448 5.8448 14.6275
angles (deg): 90.00 90.00 120.00
Space group R3 (No. 146, hexagonal axes)
Symmetry-distinct sites (fractional):
Cd 0.0000 0.0000 0.0000 [3 per cell]
Bi 0.0000 0.0000 0.2657 [3 per cell]
Bi 0.0000 0.0000 0.7765 [3 per cell]
Ir 0.0000 0.0000 0.4792 [3 per cell]
O 0.0630 0.3354 0.5480 [9 per cell]
O 0.0818 0.6921 0.0565 [9 per cell]

Top 10 peaks for 2θ from 10° to 90°, low angle first:
- hkl 0 1 2, 21.35 deg, I = 20
- hkl 1 0 4, 30.15 deg, I = 88
- hkl 1 1 0, 30.59 deg, I = 100
- hkl 0 2 4, 43.49 deg, I = 38
- hkl 2 -1 6, 48.64 deg, I = 26
- hkl 3 -1 4, 54.10 deg, I = 38
- hkl 3 0 0, 54.38 deg, I = 26
- hkl 2 2 0, 63.69 deg, I = 14
- hkl 1 3 4, 72.06 deg, I = 15
- hkl 1 4 0, 88.52 deg, I = 12